Diffraction record for K2RuI. The powder XRD pattern is theoretical, not measured: it uses a GGA-PBE-relaxed structure and copper Kα.
No peak broadening, texture or thermal motion is included.

The 10 most intense peaks (2θ from 10° to 80°), low angle first:
2θ = 14.15°, I 100; 2θ = 20.07°, I 21; 2θ = 28.53°, I 32; 2θ = 31.98°, I 31; 2θ = 37.36°, I 19; 2θ = 40.79°, I 11; 2θ = 42.77°, I 25; 2θ = 52.22°, I 14; 2θ = 56.50°, I 11; 2θ = 64.50°, I 11

```
data_K2RuI
_space_group_name_H-M_alt 'I -4 2 d'
_space_group_IT_number 122
_space_group_name_Hall 'I -4 2bw'
_cell_length_a 12.515
_cell_length_b 12.515
_cell_length_c 5.002
_cell_angle_alpha 90.00
_cell_angle_beta 90.00
_cell_angle_gamma 90.00
loop_
_atom_site_label
_atom_site_type_symbol
_atom_site_fract_x
_atom_site_fract_y
_atom_site_fract_z
K1 K 0.035 0.250 0.125
Ru1 Ru 0.000 0.000 0.000
I1 I 0.000 0.000 0.500
```

Diffraction record for LiSi. The powder XRD pattern is theoretical, not measured: it uses a GGA-PBE-relaxed structure and copper Kα.
No peak broadening, texture or thermal motion is included.

The 10 most intense peaks (2θ from 10° to 80°), low angle first:
2θ = 18.12°, I 23; 2θ = 19.00°, I 26; 2θ = 26.38°, I 100; 2θ = 42.91°, I 12; 2θ = 43.32°, I 35; 2θ = 43.96°, I 60; 2θ = 51.43°, I 30; 2θ = 52.56°, I 15; 2θ = 70.40°, I 11; 2θ = 79.92°, I 16

```
data_LiSi
_space_group_name_H-M_alt 'I 41/a'
_space_group_IT_number 88
_cell_length_a 9.342
_cell_length_b 9.342
_cell_length_c 5.746
_cell_angle_alpha 90.00
_cell_angle_beta 90.00
_cell_angle_gamma 90.00
loop_
_space_group_symop_operation_xyz
'x,y,z'
'-x,-y,-z'
'-y+3/4,x+1/4,z+1/4'
'y+3/4,-x+1/4,-z+1/4'
'-x+1/2,-y,z+1/2'
'x+1/2,y,-z+1/2'
'y+3/4,-x+3/4,z+3/4'
'-y+3/4,x+3/4,-z+3/4'
'x+1/2,y+1/2,z+1/2'
'-x+1/2,-y+1/2,-z+1/2'
'-y+1/4,x+3/4,z+3/4'
'y+1/4,-x+3/4,-z+3/4'
'-x,-y+1/2,z'
'x,y+1/2,-z'
'y+1/4,-x+1/4,z+1/4'
'-y+1/4,x+1/4,-z+1/4'
loop_
_atom_site_label
_atom_site_type_symbol
_atom_site_fract_x
_atom_site_fract_y
_atom_site_fract_z
Li1 Li 0.081 0.114 0.446
Si1 Si 0.111 0.047 0.905
```

Diffraction record for AsSe. The powder XRD pattern is theoretical, not measured: it uses a GGA-PBE-relaxed structure and copper Kα.
No peak broadening, texture or thermal motion is included.

The 10 most intense peaks (2θ from 10° to 80°), low angle first:
2θ = 15.80°, I 66; 2θ = 16.87°, I 52; 2θ = 19.88°, I 28; 2θ = 20.74°, I 38; 2θ = 24.93°, I 66; 2θ = 29.56°, I 43; 2θ = 30.73°, I 38; 2θ = 32.70°, I 100; 2θ = 34.16°, I 27; 2θ = 37.44°, I 33

```
data_AsSe
_space_group_name_H-M_alt 'P 21 21 21'
_space_group_IT_number 19
_cell_length_a 5.950
_cell_length_b 7.387
_cell_length_c 11.216
_cell_angle_alpha 90.00
_cell_angle_beta 90.00
_cell_angle_gamma 90.00
loop_
_space_group_symop_operation_xyz
'x,y,z'
'-x+1/2,-y,z+1/2'
'x+1/2,-y+1/2,-z'
'-x,y+1/2,-z+1/2'
loop_
_atom_site_label
_atom_site_type_symbol
_atom_site_fract_x
_atom_site_fract_y
_atom_site_fract_z
As1 As 0.059 0.092 0.204
As2 As 0.233 0.521 0.147
Se1 Se 0.106 0.854 0.417
Se2 Se 0.173 0.700 0.805
```

Diffraction record for Y2HfP3. The powder XRD pattern is theoretical, not measured: it uses a GGA-PBE-relaxed structure and copper Kα.
No peak broadening, texture or thermal motion is included.

The 10 most intense peaks (2θ from 10° to 80°), low angle first:
2θ = 10.73°, I 24; 2θ = 23.41°, I 16; 2θ = 28.03°, I 100; 2θ = 32.43°, I 100; 2θ = 32.59°, I 49; 2θ = 46.52°, I 36; 2θ = 46.64°, I 70; 2θ = 55.19°, I 31; 2θ = 57.95°, I 36; 2θ = 77.31°, I 31

```
data_Y2HfP3
_space_group_name_H-M_alt 'I 4/m m m'
_space_group_IT_number 139
_space_group_name_Hall '-I 4 2'
_cell_length_a 3.905
_cell_length_b 3.905
_cell_length_c 16.484
_cell_angle_alpha 90.00
_cell_angle_beta 90.00
_cell_angle_gamma 90.00
loop_
_atom_site_label
_atom_site_type_symbol
_atom_site_fract_x
_atom_site_fract_y
_atom_site_fract_z
Y1 Y 0.000 0.000 0.167
Hf1 Hf 0.000 0.000 0.500
P1 P 0.000 0.000 0.000
P2 P 0.000 0.000 0.340
```

Diffraction record for TmMg2Pt3. The powder XRD pattern is theoretical, not measured: it uses a GGA-PBE-relaxed structure and copper Kα.
No peak broadening, texture or thermal motion is included.

The 10 most intense peaks (2θ from 10° to 80°), low angle first:
2θ = 26.42°, I 29; 2θ = 28.15°, I 11; 2θ = 28.94°, I 11; 2θ = 32.85°, I 11; 2θ = 37.71°, I 59; 2θ = 39.59°, I 100; 2θ = 48.22°, I 11; 2θ = 54.39°, I 21; 2θ = 69.34°, I 39; 2θ = 73.05°, I 15

```
data_TmMg2Pt3
_space_group_name_H-M_alt 'P 4/m m m'
_space_group_IT_number 123
_space_group_name_Hall '-P 4 2'
_cell_length_a 3.374
_cell_length_b 3.374
_cell_length_c 9.255
_cell_angle_alpha 90.00
_cell_angle_beta 90.00
_cell_angle_gamma 90.00
loop_
_atom_site_label
_atom_site_type_symbol
_atom_site_fract_x
_atom_site_fract_y
_atom_site_fract_z
Tm1 Tm 0.000 0.000 0.000
Mg1 Mg 0.000 0.000 0.344
Pt1 Pt 0.500 0.500 0.180
Pt2 Pt 0.500 0.500 0.500
```

Diffraction record for SrEr2Tl3Te6. The powder XRD pattern is theoretical, not measured: it uses a GGA-PBE-relaxed structure and copper Kα.
No peak broadening, texture or thermal motion is included.

The 10 most intense peaks (2θ from 10° to 80°), low angle first:
2θ = 27.13°, I 100; 2θ = 37.84°, I 26; 2θ = 37.96°, I 13; 2θ = 39.60°, I 36; 2θ = 45.72°, I 7; 2θ = 48.63°, I 13; 2θ = 56.00°, I 8; 2θ = 61.99°, I 10; 2θ = 64.47°, I 15; 2θ = 70.64°, I 7

```
data_SrEr2Tl3Te6
_space_group_name_H-M_alt 'C 1 2/m 1'
_space_group_IT_number 12
_cell_length_a 7.881
_cell_length_b 13.660
_cell_length_c 8.370
_cell_angle_alpha 90.00
_cell_angle_beta 108.51
_cell_angle_gamma 90.00
loop_
_space_group_symop_operation_xyz
'x,y,z'
'-x,-y,-z'
'-x,y,-z'
'x,-y,z'
'x+1/2,y+1/2,z'
'-x+1/2,-y+1/2,-z'
'-x+1/2,y+1/2,-z'
'x+1/2,-y+1/2,z'
loop_
_atom_site_label
_atom_site_type_symbol
_atom_site_fract_x
_atom_site_fract_y
_atom_site_fract_z
Sr1 Sr 0.000 0.000 0.000
Er1 Er 0.000 0.330 0.000
Tl1 Tl 0.000 0.160 0.500
Tl2 Tl 0.000 0.500 0.500
Te1 Te 0.215 0.500 0.214
Te2 Te 0.247 0.322 0.778
```

Diffraction record for Pr4Nd5Sm. The powder XRD pattern is theoretical, not measured: it uses a GGA-PBE-relaxed structure and copper Kα.
No peak broadening, texture or thermal motion is included.

The 10 most intense peaks (2θ from 10° to 80°), low angle first:
2θ = 27.58°, I 22; 2θ = 28.80°, I 100; 2θ = 29.98°, I 45; 2θ = 30.95°, I 33; 2θ = 35.05°, I 32; 2θ = 50.40°, I 16; 2θ = 51.98°, I 27; 2θ = 57.23°, I 13; 2θ = 59.09°, I 17; 2θ = 67.50°, I 11

```
data_Pr4Nd5Sm
_space_group_name_H-M_alt 'P 4/n m m'
_space_group_IT_number 129
_cell_length_a 10.863
_cell_length_b 10.863
_cell_length_c 5.995
_cell_angle_alpha 90.00
_cell_angle_beta 90.00
_cell_angle_gamma 90.00
loop_
_space_group_symop_operation_xyz
'x,y,z'
'-x,-y,-z'
'-y+1/2,x,z'
'y+1/2,-x,-z'
'-x+1/2,-y+1/2,z'
'x+1/2,y+1/2,-z'
'y,-x+1/2,z'
'-y,x+1/2,-z'
'x+1/2,-y,-z'
'-x+1/2,y,z'
'-y,-x,-z'
'y,x,z'
'-x,y+1/2,-z'
'x,-y+1/2,z'
'y+1/2,x+1/2,-z'
'-y+1/2,-x+1/2,z'
loop_
_atom_site_label
_atom_site_type_symbol
_atom_site_fract_x
_atom_site_fract_y
_atom_site_fract_z
Pr1 Pr 0.045 0.750 0.132
Nd1 Nd 0.088 0.088 0.335
Nd2 Nd 0.250 0.750 0.500
Sm1 Sm 0.250 0.250 0.863
```

Diffraction record for ErAg6Hg. The powder XRD pattern is theoretical, not measured: it uses a GGA-PBE-relaxed structure and copper Kα.
No peak broadening, texture or thermal motion is included.

The 10 most intense peaks (2θ from 10° to 80°), low angle first:
2θ = 18.83°, I 30; 2θ = 21.06°, I 48; 2θ = 28.67°, I 26; 2θ = 35.53°, I 67; 2θ = 36.91°, I 69; 2θ = 38.19°, I 80; 2θ = 38.55°, I 64; 2θ = 39.79°, I 29; 2θ = 40.25°, I 100; 2θ = 40.94°, I 29

```
data_ErAg6Hg
_space_group_name_H-M_alt 'C 1 2/m 1'
_space_group_IT_number 12
_cell_length_a 8.531
_cell_length_b 5.734
_cell_length_c 7.407
_cell_angle_alpha 90.00
_cell_angle_beta 104.08
_cell_angle_gamma 90.00
loop_
_space_group_symop_operation_xyz
'x,y,z'
'-x,-y,-z'
'-x,y,-z'
'x,-y,z'
'x+1/2,y+1/2,z'
'-x+1/2,-y+1/2,-z'
'-x+1/2,y+1/2,-z'
'x+1/2,-y+1/2,z'
loop_
_atom_site_label
_atom_site_type_symbol
_atom_site_fract_x
_atom_site_fract_y
_atom_site_fract_z
Er1 Er 0.000 0.000 0.000
Ag1 Ag 0.140 0.500 0.941
Ag2 Ag 0.219 0.261 0.303
Hg1 Hg 0.000 0.500 0.500
```

Diffraction record for Cd7Pb6. The powder XRD pattern is theoretical, not measured: it uses a GGA-PBE-relaxed structure and copper Kα.
No peak broadening, texture or thermal motion is included.

The 10 most intense peaks (2θ from 10° to 80°), low angle first:
2θ = 30.44°, I 100; 2θ = 30.86°, I 96; 2θ = 33.04°, I 53; 2θ = 34.14°, I 97; 2θ = 35.40°, I 34; 2θ = 37.60°, I 35; 2θ = 54.37°, I 39; 2θ = 55.15°, I 29; 2θ = 56.49°, I 40; 2θ = 63.36°, I 36

```
data_Cd7Pb6
_space_group_name_H-M_alt 'R -3 m'
_space_group_IT_number 166
_space_group_name_Hall '-R 3 2"'
_cell_length_a 5.8716
_cell_length_b 5.8716
_cell_length_c 35.2547
_cell_angle_alpha 90.00
_cell_angle_beta 90.00
_cell_angle_gamma 120.00
loop_
_atom_site_label
_atom_site_type_symbol
_atom_site_fract_x
_atom_site_fract_y
_atom_site_fract_z
Cd1 Cd 0.0000 0.0000 0.0000
Cd2 Cd 0.0027 0.5013 0.4078
Pb1 Pb 0.0000 0.0000 0.1611
Pb2 Pb 0.0000 0.0000 0.3475
Pb3 Pb 0.0000 0.0000 0.4517
```

Diffraction record for NaNpI6. The powder XRD pattern is theoretical, not measured: it uses a GGA-PBE-relaxed structure and copper Kα.
No peak broadening, texture or thermal motion is included.

The 10 most intense peaks (2θ from 10° to 80°), low angle first:
2θ = 12.62°, I 12; 2θ = 13.88°, I 38; 2θ = 15.69°, I 26; 2θ = 21.48°, I 12; 2θ = 26.33°, I 100; 2θ = 34.54°, I 44; 2θ = 40.41°, I 37; 2θ = 45.34°, I 24; 2θ = 48.88°, I 16; 2θ = 68.00°, I 13

```
data_NaNpI6
_space_group_name_H-M_alt 'R -3'
_space_group_IT_number 148
_space_group_name_Hall '-R 3'
_cell_length_a 7.7312
_cell_length_b 7.7312
_cell_length_c 21.0379
_cell_angle_alpha 90.00
_cell_angle_beta 90.00
_cell_angle_gamma 120.00
loop_
_atom_site_label
_atom_site_type_symbol
_atom_site_fract_x
_atom_site_fract_y
_atom_site_fract_z
Na1 Na 0.0000 0.0000 0.0000
Np1 Np 0.0000 0.0000 0.5000
I1 I 0.0135 0.6964 0.4196
```

Diffraction record for TmTh3C4. The powder XRD pattern is theoretical, not measured: it uses a GGA-PBE-relaxed structure and copper Kα.
No peak broadening, texture or thermal motion is included.

The 10 most intense peaks (2θ from 10° to 80°), low angle first:
2θ = 16.88°, I 1; 2θ = 23.95°, I 1; 2θ = 29.45°, I 100; 2θ = 34.13°, I 63; 2θ = 38.31°, I 1; 2θ = 49.04°, I 46; 2θ = 58.25°, I 47; 2θ = 61.10°, I 16; 2θ = 71.88°, I 7; 2θ = 79.53°, I 20

```
data_TmTh3C4
_space_group_name_H-M_alt 'P m -3 m'
_space_group_IT_number 221
_space_group_name_Hall '-P 4 2 3'
_cell_length_a 5.254
_cell_length_b 5.254
_cell_length_c 5.254
_cell_angle_alpha 90.00
_cell_angle_beta 90.00
_cell_angle_gamma 90.00
loop_
_atom_site_label
_atom_site_type_symbol
_atom_site_fract_x
_atom_site_fract_y
_atom_site_fract_z
Tm1 Tm 0.000 0.000 0.000
Th1 Th 0.000 0.500 0.500
C1 C 0.000 0.000 0.500
C2 C 0.500 0.500 0.500
```